# 1
For AgSnH6Ir2, the PBE geometry in Alexandria gives the simulated powder diffractogram in this record (Cu Kα (weighted mean of Kα1 and Kα2)).

The 10 most intense peaks (2θ from 10° to 90°), by angle:
two_theta  d [Å]  intensity  index
13.7  6.442  100  1 1 0
21.8  4.082  40  1 1 -1
27.7  3.218  34  2 2 0
30.4  2.939  41  2 2 -1
33.7  2.662  47  1 3 1
36.8  2.441  32  1 5 0
38.4  2.342  61  2 2 1
40.4  2.231  38  1 1 -2
41.9  2.154  40  0 6 0
42.4  2.133  69  3 3 -1

Structure:
```
data_AgSnH6Ir2
_space_group_name_H-M_alt 'C 1 2/c 1'
_space_group_IT_number 15
_space_group_name_Hall '-C 2yc'
_cell_length_a 7.7059
_cell_length_b 12.9290
_cell_length_c 4.5322
_cell_angle_alpha 90.00
_cell_angle_beta 105.62
_cell_angle_gamma 90.00
loop_
_atom_site_label
_atom_site_type_symbol
_atom_site_fract_x
_atom_site_fract_y
_atom_site_fract_z
Ag1 Ag 0.0000 0.2245 0.2500
Sn1 Sn 0.0000 0.3978 0.7500
H1 H 0.0746 0.1022 0.5099
H2 H 0.1805 0.0067 0.8497
H3 H 0.2395 0.1800 0.8373
Ir1 Ir 0.2082 0.4155 0.3514
```

---

# 2
For Ba6MgSc2C2O6F14, the PBE geometry in Alexandria gives the simulated powder diffractogram in this record (Cu Kα (weighted mean of Kα1 and Kα2)).

The 10 most intense peaks (2θ from 10° to 90°), by angle:
two_theta  d [Å]  intensity  index
16.3  5.444  27  0 0 2
20.0  4.444  31  1 1 1
22.1  4.019  94  0 1 2
24.8  3.589  52  1 1 2
25.7  3.473  100  2 1 -1
26.7  3.341  36  2 1 1
28.8  3.100  31  0 1 3
30.0  2.980  43  0 2 0
40.6  2.222  41  2 2 2
43.2  2.093  42  2 2 -3

Structure:
```
data_Ba6MgSc2C2O6F14
_space_group_name_H-M_alt 'P 1 m 1'
_space_group_IT_number 6
_space_group_name_Hall 'P -2y'
_cell_length_a 9.0091
_cell_length_b 5.9595
_cell_length_c 10.9223
_cell_angle_alpha 90.00
_cell_angle_beta 94.59
_cell_angle_gamma 90.00
loop_
_atom_site_label
_atom_site_type_symbol
_atom_site_fract_x
_atom_site_fract_y
_atom_site_fract_z
Ba1 Ba 0.0000 0.0000 0.0000
Ba2 Ba 0.0047 0.5000 0.3107
Ba3 Ba 0.1698 0.5000 0.7155
Ba4 Ba 0.4505 0.0000 0.9028
Ba5 Ba 0.5271 0.5000 0.3480
Ba6 Ba 0.8145 0.0000 0.5385
Mg1 Mg 0.6927 0.5000 0.0648
Sc1 Sc 0.2202 0.0000 0.4252
Sc2 Sc 0.7570 0.5000 0.7897
C1 C 0.4513 0.0000 0.5989
C2 C 0.5186 0.5000 0.6486
O1 O 0.3149 0.0000 0.6318
O2 O 0.4045 0.5000 0.5742
O3 O 0.4674 0.0000 0.4810
O4 O 0.5124 0.5000 0.7685
O5 O 0.5645 0.0000 0.6788
O6 O 0.6552 0.5000 0.6108
F1 F 0.0475 0.0000 0.2644
F2 F 0.0770 0.2317 0.5058
F3 F 0.2065 0.2324 0.9079
F4 F 0.2764 0.2622 0.3246
F5 F 0.7247 0.2651 0.9246
F6 F 0.7702 0.2677 0.3635
F7 F 0.9104 0.2714 0.7481
F8 F 0.9215 0.5000 0.0748
```

---

# 3
For LaSm12Tm5, the PBE geometry in Alexandria gives the simulated powder diffractogram in this record (Cu Kα (weighted mean of Kα1 and Kα2)).

The 10 most intense peaks (2θ from 10° to 90°), by angle:
two_theta  d [Å]  intensity  index
30.4  2.937  100  3 3 1
35.3  2.544  51  0 6 0
50.8  1.799  36  6 0 2
60.3  1.534  43  3 3 3
63.3  1.469  12  6 6 2
74.6  1.273  4  0 0 4
74.7  1.271  2  12 0 0
82.7  1.167  18  3 9 3
85.3  1.138  11  6 0 4
85.4  1.137  5  12 6 0

Structure:
```
data_LaSm12Tm5
_space_group_name_H-M_alt 'C m m m'
_space_group_IT_number 65
_space_group_name_Hall '-C 2 2'
_cell_length_a 15.2485
_cell_length_b 15.2745
_cell_length_c 5.0889
_cell_angle_alpha 90.00
_cell_angle_beta 90.00
_cell_angle_gamma 90.00
loop_
_atom_site_label
_atom_site_type_symbol
_atom_site_fract_x
_atom_site_fract_y
_atom_site_fract_z
La1 La 0.0000 0.0000 0.0000
Sm1 Sm 0.1643 0.3339 0.5000
Sm2 Sm 0.1643 0.5000 0.0000
Sm3 Sm 0.1666 0.1680 0.0000
Sm4 Sm 0.1681 0.0000 0.5000
Tm1 Tm 0.0000 0.1690 0.5000
Tm2 Tm 0.0000 0.3332 0.0000
Tm3 Tm 0.0000 0.5000 0.5000
```